Starting from a crystal structure in Alexandria, relaxed with PBE, the PXRD pattern of ZnCo was simulated for Cu Kα (λ = 1.5418 Å).
Peak positions follow from Bragg's law for the DFT cell and can differ from measured ones.

Atomic structure:
Cell lengths 2.6441, 6.7777, 6.7777 Å; angles 142.59, 90.00, 90.00 degrees
Element x y z (fractional)
Zn 0.0000 0.0000 0.0000
Zn 0.5000 0.3105 0.9582
Zn 0.5000 0.9582 0.3105
Co 0.0000 0.4734 0.7822
Co 0.0000 0.7822 0.4734
Co 0.5000 0.4995 0.4995

Peak list (10 most intense, 2θ from 10° to 90°, in order of rising 2θ)
d (Å)  2θ/deg  intensity
2.225  40.55  12
2.173  41.55  20
2.140  42.23  33
2.059  43.98  16
1.998  45.40  100
1.800  50.73  10
1.525  60.74  11
1.265  75.13  10
1.206  79.45  13
1.125  86.54  7



Starting from a crystal structure in Alexandria, relaxed with PBE, the PXRD pattern of Zn17Co3 was simulated for Cu Kα (λ = 1.5418 Å).
Peak positions follow from Bragg's law for the DFT cell and can differ from measured ones.

Atomic structure:
Cell lengths 11.2283, 11.2283, 7.6573 Å; angles 90.00, 90.00, 120.00 degrees
Element x y z (fractional)
Zn 0.0000 0.5000 0.0059
Zn 0.0225 0.8134 0.6781
Zn 0.0704 0.7559 0.0000
Zn 0.0702 0.8501 0.3220
Zn 0.1080 0.6277 0.7086
Zn 0.1105 0.6313 0.3093
Zn 0.1124 0.4281 0.5070
Zn 0.1499 0.2201 0.9887
Zn 0.1564 0.4239 0.1778
Zn 0.1866 0.2090 0.3448
Zn 0.2090 0.0225 0.0115
Zn 0.2201 0.0702 0.6554
Zn 0.2441 0.3145 0.6667
Zn 0.2676 0.8436 0.5112
Zn 0.2781 0.6617 0.0000
Zn 0.3145 0.0704 0.3333
Zn 0.3157 0.8876 0.8403
Zn 0.3383 0.6164 0.6667
Zn 0.3687 0.4792 0.9759
Zn 0.3723 0.4804 0.3753
Zn 0.3836 0.7219 0.3334
Zn 0.4239 0.2676 0.8445
Zn 0.4281 0.3157 0.1736
Zn 0.4792 0.1105 0.6426
Zn 0.4804 0.1080 0.0419
Zn 0.5000 0.0000 0.3393
Zn 0.5000 0.5000 0.6726
Zn 0.5196 0.8920 0.0419
Zn 0.5208 0.8895 0.6426
Zn 0.5719 0.6843 0.1736
Zn 0.5761 0.7324 0.8445
Zn 0.6164 0.2781 0.3334
Zn 0.6277 0.5196 0.3753
Zn 0.6313 0.5208 0.9759
Zn 0.6617 0.3836 0.6667
Zn 0.6843 0.1124 0.8403
Zn 0.6855 0.9296 0.3333
Zn 0.7219 0.3383 0.0000
Zn 0.7324 0.1564 0.5112
Zn 0.7559 0.6855 0.6667
Zn 0.7799 0.9298 0.6554
Zn 0.7910 0.9775 0.0115
Zn 0.8134 0.7910 0.3448
Zn 0.8436 0.5761 0.1778
Zn 0.8501 0.7799 0.9887
Zn 0.8876 0.5719 0.5070
Zn 0.8895 0.3687 0.3093
Zn 0.8920 0.3723 0.7086
Zn 0.9298 0.1499 0.3220
Zn 0.9296 0.2441 0.0000
Zn 0.9775 0.1866 0.6781
Co 0.0000 0.0000 0.1662
Co 0.0000 0.0000 0.4995
Co 0.0000 0.0000 0.8328
Co 0.1395 0.4253 0.8378
Co 0.2858 0.8605 0.1712
Co 0.4253 0.2858 0.5045
Co 0.5747 0.7142 0.5045
Co 0.7142 0.1395 0.1712
Co 0.8605 0.5747 0.8378

Peak list (10 most intense, 2θ from 10° to 90°, in order of rising 2θ)
d (Å)  2θ/deg  intensity
2.544  35.28  13
2.205  40.93  25
2.142  42.19  24
2.122  42.61  68
2.096  43.15  100
2.052  44.13  14
2.045  44.30  13
1.928  47.15  16
1.491  62.25  10
1.220  78.37  17



Starting from a crystal structure in Alexandria, relaxed with PBE, the PXRD pattern of Zn15Co was simulated for Cu Kα (λ = 1.5418 Å).
Peak positions follow from Bragg's law for the DFT cell and can differ from measured ones.

Atomic structure:
Cell lengths 5.4026, 5.4026, 9.1309 Å; angles 90.00, 90.00, 120.00 degrees
Element x y z (fractional)
Zn 0.0000 0.0000 0.0000
Zn 0.0043 0.5021 0.5000
Zn 0.3278 0.1639 0.2615
Zn 0.3278 0.1639 0.7385
Zn 0.3333 0.6667 0.2422
Zn 0.3333 0.6667 0.7578
Zn 0.4979 0.5021 0.5000
Zn 0.4979 0.9957 0.5000
Zn 0.5022 0.0044 0.0000
Zn 0.5022 0.4978 0.0000
Zn 0.8361 0.1639 0.2615
Zn 0.8361 0.1639 0.7385
Zn 0.8361 0.6722 0.2615
Zn 0.8361 0.6722 0.7385
Zn 0.9956 0.4978 0.0000
Co 0.0000 0.0000 0.5000

Peak list (10 most intense, 2θ from 10° to 90°, in order of rising 2θ)
d (Å)  2θ/deg  intensity
2.339  38.48  24
2.283  39.48  29
2.082  43.47  100
1.634  56.31  14
1.351  69.61  15
1.276  74.36  17
1.170  82.46  2
1.162  83.09  17
1.141  84.98  2
1.133  85.74  12